The following is a computed XRD peak list of LiScTe2Br. It was derived from a PBE-relaxed structure, using Cu Ka.
Lines closer than 0.1° are merged.

Top 10 peaks for 10 to 80 degrees two-theta, in order of rising 2θ:
2theta  intensity
15.5  14
26.0  7
30.4  100
31.3  24
37.1  31
49.3  27
53.4  10
55.1  18
62.7  24
63.2  12

Crystal structure
a b c (Å): 4.850 4.850 5.722
angles (deg): 90.00 90.00 90.00
Fractional positions:
Li  0.000  0.000  0.000
Sc  0.000  0.000  0.500
Te  0.000  0.500  0.000
Te  0.500  0.000  0.000
Br  0.500  0.500  0.500

=====

The following is a computed XRD peak list of Pr3ErP2N6. It was derived from a PBE-relaxed structure, using Cu Ka.
Lines closer than 0.1° are merged.

Top 10 peaks for 10 to 80 degrees two-theta, in order of rising 2θ:
2theta  intensity
13.8  19
17.9  19
22.7  18
31.2  100
33.2  87
46.2  48
55.6  20
56.9  38
75.1  17
78.4  17

Crystal structure
a b c (Å): 5.729 5.729 6.419
angles (deg): 90.00 90.00 120.00
Fractional positions:
Pr  0.000  0.000  0.000
Pr  0.333  0.667  0.650
Pr  0.667  0.333  0.350
Er  0.000  0.000  0.500
P  0.333  0.667  0.172
P  0.667  0.333  0.828
N  0.181  0.362  0.286
N  0.181  0.819  0.286
N  0.362  0.181  0.714
N  0.638  0.819  0.286
N  0.819  0.181  0.714
N  0.819  0.638  0.714

=====

The following is a computed XRD peak list of Cs2LiPuCl6. It was derived from a PBE-relaxed structure, using Cu Ka.
Lines closer than 0.1° are merged.

Top 10 peaks for 10 to 80 degrees two-theta, in order of rising 2θ:
2theta  intensity
13.5  29
19.0  100
23.5  59
30.1  36
30.4  82
38.5  41
38.8  32
45.6  29
47.4  17
48.1  23

Crystal structure
a b c (Å): 7.571 7.571 6.669
angles (deg): 90.00 90.00 120.00
Fractional positions:
Cs  0.333  0.667  0.206
Cs  0.667  0.333  0.794
Li  0.000  0.000  0.000
Pu  0.000  0.000  0.500
Cl  0.159  0.318  0.760
Cl  0.159  0.841  0.760
Cl  0.318  0.159  0.240
Cl  0.682  0.841  0.760
Cl  0.841  0.159  0.240
Cl  0.841  0.682  0.240

=====

Repeat the second record exactly.
The following is a computed XRD peak list of Pr3ErP2N6. It was derived from a PBE-relaxed structure, using Cu Ka.
Lines closer than 0.1° are merged.

Top 10 peaks for 10 to 80 degrees two-theta, in order of rising 2θ:
2theta  intensity
13.8  19
17.9  19
22.7  18
31.2  100
33.2  87
46.2  48
55.6  20
56.9  38
75.1  17
78.4  17

Crystal structure
a b c (Å): 5.729 5.729 6.419
angles (deg): 90.00 90.00 120.00
Fractional positions:
Pr  0.000  0.000  0.000
Pr  0.333  0.667  0.650
Pr  0.667  0.333  0.350
Er  0.000  0.000  0.500
P  0.333  0.667  0.172
P  0.667  0.333  0.828
N  0.181  0.362  0.286
N  0.181  0.819  0.286
N  0.362  0.181  0.714
N  0.638  0.819  0.286
N  0.819  0.181  0.714
N  0.819  0.638  0.714

=====

What is the formula in the first record? LiScTe2Br